Computed powder X-ray diffraction pattern
Compound: SrHgPb
Radiation: λ = 1.5418 Å (Cu Kα)
Structure: DFT lattice parameters and positions (GGA-PBE)
Lines closer than 0.1° are merged.

Atomic structure:
```
data_SrHgPb
_chemical_formula_sum 'Sr2 Hg2 Pb2'
_space_group_name_H-M_alt 'P -3 m 1'
_space_group_IT_number 164
_space_group_name_Hall '-P 3 2"'
_cell_length_a 5.1307
_cell_length_b 5.1307
_cell_length_c 8.5187
_cell_angle_alpha 90.00
_cell_angle_beta 90.00
_cell_angle_gamma 120.00
loop_
_atom_site_label
_atom_site_fract_x
_atom_site_fract_y
_atom_site_fract_z
Sr1 0.0000 0.0000 0.2277
Hg1 0.3333 0.6667 0.9957
Pb1 0.3333 0.6667 0.5665
```

Largest 10 diffraction maxima, by angle, 10 to 90 degrees two-theta:
two_theta	d_spacing	Rel. int.
19.98	4.443	19
20.86	4.259	29
29.04	3.075	100
34.98	2.565	95
37.59	2.393	28
41.07	2.198	32
46.08	1.970	29
59.13	1.562	28
62.73	1.481	18
65.80	1.419	16

Computed powder X-ray diffraction pattern
Compound: SmHS2
Radiation: λ = 1.5418 Å (Cu Kα)
Structure: DFT lattice parameters and positions (GGA-PBE)
Lines closer than 0.1° are merged.

Atomic structure:
```
data_SmHS2
_chemical_formula_sum 'Sm4 H4 S8'
_space_group_name_H-M_alt 'C 1 c 1'
_space_group_IT_number 9
_cell_length_a 7.9452
_cell_length_b 7.8166
_cell_length_c 7.3624
_cell_angle_alpha 90.00
_cell_angle_beta 121.41
_cell_angle_gamma 90.00
loop_
_space_group_symop_operation_xyz
'x,y,z'
'x,-y,z+1/2'
'x+1/2,y+1/2,z'
'x+1/2,-y+1/2,z+1/2'
loop_
_atom_site_label
_atom_site_fract_x
_atom_site_fract_y
_atom_site_fract_z
Sm1 0.0000 0.1331 0.0000
H1 0.1081 0.2651 0.4975
S1 0.2206 0.1400 0.4864
S2 0.2870 0.3695 0.0730
```

Largest 10 diffraction maxima, by angle, 10 to 90 degrees two-theta:
two_theta	d_spacing	Rel. int.
17.31	5.122	98
17.51	5.065	100
26.43	3.373	22
26.84	3.322	52
28.41	3.142	52
32.13	2.786	81
36.39	2.469	21
36.99	2.430	31
43.07	2.100	31
43.76	2.069	31